# SmFePO
Theoretical powder diffractogram, Cu Ka. Input: a cell relaxed with PBE+U.
Kinematic intensities with the Lorentz-polarization factor, no thermal factor.

Structural model:
```
SmFePO
1.0
3.888 0.000 0.000
0.000 3.888 0.000
0.000 0.000 8.696
Sm Fe P O
2 2 2 2
direct
0.250 0.250 0.138 Sm
0.750 0.750 0.862 Sm
0.250 0.750 0.500 Fe
0.750 0.250 0.500 Fe
0.250 0.250 0.658 P
0.750 0.750 0.342 P
0.250 0.750 0.000 O
0.750 0.250 0.000 O
```

Most intense lines, 2θ = 15–90°, low angle first:
- 25.09°, rel. 36, hkl 1 0 1
- 30.85°, rel. 100, hkl 1 0 2
- 32.57°, rel. 13, hkl 1 1 0
- 34.21°, rel. 32, hkl 1 1 1
- 38.75°, rel. 27, hkl 1 1 2
- 46.73°, rel. 28, hkl 2 0 0
- 53.76°, rel. 41, hkl 1 1 4
- 57.04°, rel. 40, hkl 2 1 2